No. 1
Starting from a DFT-relaxed cell (GGA-PBE, Alexandria), the XRD peak list of PmTm2Hg6 was calculated for CuKα.
Neutral-atom scattering factors, no anomalous dispersion.

The 12 most intense peaks (10 to 90 degrees two-theta), by angle:
20.7 deg, I = 16
22.3 deg, I = 26
28.1 deg, I = 16
35.1 deg, I = 100
40.1 deg, I = 35
42.1 deg, I = 15
45.6 deg, I = 9
58.1 deg, I = 12
59.6 deg, I = 21
69.7 deg, I = 28
72.4 deg, I = 13
74.3 deg, I = 11

Structure:
Lattice parameters (Å, degrees): 13.2636 13.2636 13.2636 160.50 160.50 27.72
Fractional positions:
Pm  0.0000  0.0000  0.0000
Tm  0.3312  0.3312  0.0000
Tm  0.6688  0.6688  0.0000
Hg  0.0877  0.5877  0.5000
Hg  0.2500  0.7500  0.5000
Hg  0.4123  0.9123  0.5000
Hg  0.5877  0.0877  0.5000
Hg  0.7500  0.2500  0.5000
Hg  0.9123  0.4123  0.5000

No. 2
Starting from a DFT-relaxed cell (GGA-PBE, Alexandria), the XRD peak list of Er7Sn5Bi was calculated for CuKα.
Neutral-atom scattering factors, no anomalous dispersion.

The 12 most intense peaks (10 to 90 degrees two-theta), by angle:
27.9 deg, I = 69
28.8 deg, I = 38
29.3 deg, I = 28
32.8 deg, I = 100
33.0 deg, I = 53
33.6 deg, I = 39
34.1 deg, I = 45
36.3 deg, I = 52
37.3 deg, I = 90
38.1 deg, I = 42
57.6 deg, I = 43
63.2 deg, I = 36

Structure:
Lattice parameters (Å, degrees): 8.2866 8.2866 8.2866 136.13 94.76 101.31
Fractional positions:
Er  0.0000  0.0000  0.0000
Er  0.2783  0.6123  0.6661
Er  0.3881  0.3881  0.0000
Er  0.4360  0.0996  0.3364
Er  0.7631  0.0996  0.6636
Er  0.8515  0.3515  0.5000
Er  0.9462  0.6123  0.3339
Sn  0.1018  0.1089  0.4951
Sn  0.1018  0.6066  0.9929
Sn  0.3545  0.8545  0.5000
Sn  0.6138  0.1089  0.0071
Sn  0.6138  0.6066  0.5049
Bi  0.6804  0.6804  0.0000

No. 3
Starting from a DFT-relaxed cell (GGA-PBE, Alexandria), the XRD peak list of Ba4P3 was calculated for CuKα.
Neutral-atom scattering factors, no anomalous dispersion.

The 12 most intense peaks (10 to 90 degrees two-theta), by angle:
22.0 deg, I = 82
24.2 deg, I = 40
25.4 deg, I = 64
25.5 deg, I = 66
26.1 deg, I = 46
27.1 deg, I = 39
28.9 deg, I = 100
30.5 deg, I = 53
31.1 deg, I = 40
31.6 deg, I = 64
33.0 deg, I = 42
47.0 deg, I = 66

Structure:
Lattice parameters (Å, degrees): 12.6942 13.4999 11.3750 90.00 90.00 90.00
Fractional positions:
Ba  0.0000  0.0000  0.1802
Ba  0.0000  0.0000  0.8198
Ba  0.0995  0.2635  0.2844
Ba  0.0995  0.2635  0.7156
Ba  0.1067  0.7051  0.0000
Ba  0.1206  0.8752  0.5000
Ba  0.1689  0.5685  0.3192
Ba  0.1689  0.5685  0.6808
Ba  0.2255  0.4193  0.0000
Ba  0.2745  0.9193  0.0000
Ba  0.3311  0.0685  0.3192
Ba  0.3311  0.0685  0.6808
Ba  0.3794  0.3752  0.5000
Ba  0.3933  0.2051  0.0000
Ba  0.4005  0.7635  0.2844
Ba  0.4005  0.7635  0.7156
Ba  0.5000  0.5000  0.1802
Ba  0.5000  0.5000  0.8198
Ba  0.5995  0.2365  0.2844
Ba  0.5995  0.2365  0.7156
Ba  0.6067  0.7949  0.0000
Ba  0.6206  0.6248  0.5000
Ba  0.6689  0.9315  0.3192
Ba  0.6689  0.9315  0.6808
Ba  0.7255  0.0807  0.0000
Ba  0.7745  0.5807  0.0000
Ba  0.8311  0.4315  0.3192
Ba  0.8311  0.4315  0.6808
Ba  0.8794  0.1248  0.5000
Ba  0.8933  0.2949  0.0000
Ba  0.9005  0.7365  0.2844
Ba  0.9005  0.7365  0.7156
P  0.0000  0.5000  0.1009
P  0.0000  0.5000  0.8991
P  0.0344  0.4225  0.5000
P  0.1384  0.1130  0.5000
P  0.1406  0.1351  0.0000
P  0.1616  0.8202  0.2363
P  0.1616  0.8202  0.7637
P  0.3384  0.3202  0.2363
P  0.3384  0.3202  0.7637
P  0.3594  0.6351  0.0000
P  0.3616  0.6130  0.5000
P  0.4656  0.9225  0.5000
P  0.5000  0.0000  0.1009
P  0.5000  0.0000  0.8991
P  0.5344  0.0775  0.5000
P  0.6384  0.3870  0.5000
P  0.6406  0.3649  0.0000
P  0.6616  0.6798  0.2363
P  0.6616  0.6798  0.7637
P  0.8384  0.1798  0.2363
P  0.8384  0.1798  0.7637
P  0.8594  0.8649  0.0000
P  0.8616  0.8870  0.5000
P  0.9656  0.5775  0.5000

No. 4
Starting from a DFT-relaxed cell (GGA-PBE, Alexandria), the XRD peak list of Sr3MgBi3 was calculated for CuKα.
Neutral-atom scattering factors, no anomalous dispersion.

The 12 most intense peaks (10 to 90 degrees two-theta), by angle:
20.9 deg, I = 27
21.5 deg, I = 37
22.6 deg, I = 37
23.4 deg, I = 60
24.1 deg, I = 100
30.3 deg, I = 88
30.9 deg, I = 58
34.4 deg, I = 40
38.3 deg, I = 43
39.8 deg, I = 18
44.0 deg, I = 23
44.4 deg, I = 24

Structure:
Lattice parameters (Å, degrees): 8.4743 8.4743 8.3147 92.75 92.75 112.45
Fractional positions:
Sr  0.1665  0.8335  0.0000
Sr  0.2119  0.7881  0.5000
Sr  0.4046  0.4046  0.1757
Sr  0.5954  0.5954  0.8243
Sr  0.7881  0.2119  0.5000
Sr  0.8335  0.1665  0.0000
Mg  0.2118  0.2118  0.6262
Mg  0.7882  0.7882  0.3738
Bi  0.0884  0.0884  0.2896
Bi  0.1521  0.4866  0.7857
Bi  0.4866  0.1521  0.7857
Bi  0.5134  0.8479  0.2143
Bi  0.8479  0.5134  0.2143
Bi  0.9116  0.9116  0.7104

No. 5
Starting from a DFT-relaxed cell (GGA-PBE, Alexandria), the XRD peak list of Zn2Cu2Pt5 was calculated for CuKα.
Neutral-atom scattering factors, no anomalous dispersion.

The 12 most intense peaks (10 to 90 degrees two-theta), by angle:
20.6 deg, I = 32
35.6 deg, I = 26
40.2 deg, I = 56
41.3 deg, I = 100
41.6 deg, I = 96
42.0 deg, I = 41
59.5 deg, I = 29
73.8 deg, I = 18
74.0 deg, I = 18
75.3 deg, I = 18
76.1 deg, I = 19
86.5 deg, I = 22

Structure:
Lattice parameters (Å, degrees): 9.0088 9.0088 9.0088 58.06 130.77 151.16
Fractional positions:
Zn  0.0000  0.0000  0.0000
Zn  0.0000  0.5000  0.5000
Zn  0.3315  0.2515  0.5799
Zn  0.6716  0.7515  0.4201
Cu  0.3194  0.5877  0.9067
Cu  0.3194  0.9126  0.2317
Cu  0.6810  0.0877  0.7683
Cu  0.6810  0.4126  0.0933
Pt  0.0048  0.1631  0.1671
Pt  0.0048  0.3377  0.3417
Pt  0.3396  0.7502  0.0894
Pt  0.3453  0.0781  0.4229
Pt  0.3453  0.4224  0.7672
Pt  0.6551  0.5781  0.2328
Pt  0.6551  0.9224  0.5771
Pt  0.6608  0.2502  0.9106
Pt  0.9960  0.6631  0.6583
Pt  0.9960  0.8377  0.8329

No. 6
Starting from a DFT-relaxed cell (GGA-PBE, Alexandria), the XRD peak list of Tb4Hg5Pd2 was calculated for CuKα.
Neutral-atom scattering factors, no anomalous dispersion.

The 12 most intense peaks (10 to 90 degrees two-theta), by angle:
30.8 deg, I = 55
32.7 deg, I = 92
33.6 deg, I = 100
34.1 deg, I = 76
35.1 deg, I = 57
35.3 deg, I = 47
35.8 deg, I = 88
37.5 deg, I = 43
37.6 deg, I = 42
38.3 deg, I = 39
50.6 deg, I = 47
63.2 deg, I = 38

Structure:
Lattice parameters (Å, degrees): 7.6833 3.6046 9.6650 90.00 93.67 90.00
Fractional positions:
Tb  0.1798  0.0000  0.3558
Tb  0.2340  0.0000  0.9366
Tb  0.7660  0.0000  0.0634
Tb  0.8202  0.0000  0.6442
Hg  0.1697  0.5000  0.6433
Hg  0.4510  0.5000  0.1738
Hg  0.5000  0.5000  0.5000
Hg  0.5490  0.5000  0.8262
Hg  0.8303  0.5000  0.3567
Pd  0.0706  0.5000  0.1357
Pd  0.9294  0.5000  0.8643